Record 1
This entry pairs a crystal structure of Pr2MgCuO4 with its theoretical powder diffraction line list. Radiation: copper Kα. Structure: a structure optimized by DFT (PBE).
Lines closer than 0.1° are merged.

Main lines, in order of rising 2θ (5° ≤ 2θ ≤ 70°):
8.5°, intensity 22.7, (0 0 2)
17.0°, intensity 34.3, (0 0 4)
26.3°, intensity 27.0, (1 0 1)
29.0°, intensity 65.1, (1 0 3)
33.8°, intensity 100.0, (1 0 5)
37.0°, intensity 36.9, (1 1 0)
41.0°, intensity 30.4, (1 1 4)
51.4°, intensity 25.6, (1 1 8)
53.3°, intensity 22.5, (2 0 0)
64.6°, intensity 28.3, (2 1 5)

Structural model:
abc: 3.436 3.436 20.843
angles: 90.00 90.00 90.00
Space group I-4m2 (No. 119)
Inequivalent atoms, fractional coordinates:
Pr (0.000, 0.000, 0.119)
Mg (0.000, 0.500, 0.250)
Cu (0.000, 0.000, 0.500)
O (0.000, 0.000, 0.308)
O (0.000, 0.500, 0.551)

***

Record 2
This entry pairs a crystal structure of Fe3Cu with its theoretical powder diffraction line list. Radiation: copper Kα. Structure: a structure optimized by DFT (PBE).
Lines closer than 0.1° are merged.

Main lines, in order of rising 2θ (5° ≤ 2θ ≤ 70°):
45.7°, intensity 100.0, (2 2 0)
66.6°, intensity 14.6, (4 0 0)

Structural model:
abc: 5.616 5.616 5.616
angles: 90.00 90.00 90.00
Space group Fm-3m (No. 225)
Inequivalent atoms, fractional coordinates:
Fe (0.000, 0.000, 0.000)
Fe (0.250, 0.250, 0.250)
Cu (0.000, 0.000, 0.500)

***

Record 3
This entry pairs a crystal structure of Mg6CoMo with its theoretical powder diffraction line list. Radiation: copper Kα. Structure: a structure optimized by DFT (PBE).
Lines closer than 0.1° are merged.

Main lines, in order of rising 2θ (5° ≤ 2θ ≤ 70°):
16.6°, intensity 48.2, (0 0 2)
18.6°, intensity 30.0, (1 0 0)
25.0°, intensity 23.5, (1 0 2)
35.0°, intensity 44.8, (0 2 2)
37.7°, intensity 41.4, (2 0 0)
38.6°, intensity 67.6, (1 0 4)
39.9°, intensity 100.0, (1 2 2)
52.4°, intensity 24.8, (2 2 2)
60.9°, intensity 19.0, (0 2 6)
69.6°, intensity 20.2, (3 2 2)

Structural model:
abc: 4.768 5.843 10.699
angles: 90.00 90.00 90.00
Space group Amm2 (No. 38)
Inequivalent atoms, fractional coordinates:
Mg (0.000, 0.000, 0.000)
Mg (0.000, 0.000, 0.491)
Mg (0.000, 0.247, 0.765)
Mg (0.500, 0.249, 0.102)
Co (0.500, 0.000, 0.347)
Mo (0.500, 0.000, 0.854)

***

Record 4
This entry pairs a crystal structure of LiTi2P2O9 with its theoretical powder diffraction line list. Radiation: copper Kα. Structure: a structure optimized by DFT (PBE).
Lines closer than 0.1° are merged.

Main lines, in order of rising 2θ (5° ≤ 2θ ≤ 70°):
12.6°, intensity 55.8, (2 0 0)
17.1°, intensity 67.2, (2 0 1)
18.1°, intensity 35.2, (0 1 1)
19.1°, intensity 47.0, (1 1 1)
22.1°, intensity 53.8, (2 1 1)
24.1°, intensity 100.0, (1 0 2)
27.8°, intensity 38.9, (0 2 0)
30.2°, intensity 34.2, (3 0 2)
30.9°, intensity 59.8, (1 2 1)
39.8°, intensity 44.5, (5 0 2)

Structural model:
abc: 14.061 6.411 7.642
angles: 90.00 90.00 90.00
Space group Pnma (No. 62)
Inequivalent atoms, fractional coordinates:
Li (0.226, 0.250, 0.048)
Ti (0.000, 0.000, 0.000)
Ti (0.120, 0.250, 0.647)
P (0.068, 0.750, 0.642)
P (0.190, 0.750, 0.123)
O (0.012, 0.250, 0.494)
O (0.022, 0.750, 0.830)
O (0.059, 0.250, 0.867)
O (0.127, 0.550, 0.108)
O (0.133, 0.559, 0.625)
O (0.232, 0.250, 0.479)
O (0.249, 0.250, 0.793)

***

Record 5
This entry pairs a crystal structure of Sr6In2NF with its theoretical powder diffraction line list. Radiation: copper Kα. Structure: a structure optimized by DFT (PBE).
Lines closer than 0.1° are merged.

Main lines, in order of rising 2θ (5° ≤ 2θ ≤ 70°):
23.6°, intensity 4.4, (2 2 0)
29.0°, intensity 100.0, (2 2 2)
33.7°, intensity 60.6, (4 0 0)
36.8°, intensity 1.0, (3 3 1)
41.5°, intensity 1.6, (4 2 2)
44.2°, intensity 1.4, (3 3 3)
48.3°, intensity 41.9, (4 4 0)
57.4°, intensity 42.3, (6 2 2)
60.2°, intensity 14.0, (4 4 4)
67.6°, intensity 1.2, (7 3 1)

Structural model:
abc: 10.650 10.650 10.650
angles: 90.00 90.00 90.00
Space group Fm-3m (No. 225)
Inequivalent atoms, fractional coordinates:
Sr (0.000, 0.000, 0.240)
In (0.250, 0.250, 0.250)
N (0.000, 0.000, 0.000)
F (0.000, 0.000, 0.500)

***

Record 6
This entry pairs a crystal structure of CeSe2 with its theoretical powder diffraction line list. Radiation: copper Kα. Structure: a structure optimized by DFT (PBE).
Lines closer than 0.1° are merged.

Main lines, in order of rising 2θ (5° ≤ 2θ ≤ 70°):
5.7°, intensity 100.0, (1 0 1)
7.7°, intensity 26.7, (1 1 0)
9.6°, intensity 12.9, (0 2 1)
10.6°, intensity 12.8, (0 0 3)
12.3°, intensity 29.2, (2 1 1)
14.8°, intensity 11.9, (1 0 4)
15.4°, intensity 9.6, (2 2 0)
18.2°, intensity 25.3, (4 0 1)
18.4°, intensity 9.1, (2 1 4)
29.6°, intensity 7.0, (4 1 6)

Structural model:
abc: 22.9940 22.9940 25.0852
angles: 90.00 90.00 120.00
Space group R-3m (No. 166, hexagonal axes)
Inequivalent atoms, fractional coordinates:
Ce (0.9997, 0.2283, 0.1038)
Se (0.0000, 0.2626, 0.0000)
Se (0.0000, 0.3538, 0.5000)
Se (0.0940, 0.5470, 0.7960)
Se (0.0991, 0.1982, 0.8788)

***

Record 7
This entry pairs a crystal structure of NaAlF4 with its theoretical powder diffraction line list. Radiation: copper Kα. Structure: a structure optimized by DFT (PBE).
Lines closer than 0.1° are merged.

Main lines, in order of rising 2θ (5° ≤ 2θ ≤ 70°):
20.4°, intensity 53.3, (0 2 1)
25.0°, intensity 53.7, (1 1 0)
29.0°, intensity 100.0, (0 4 1)
30.2°, intensity 41.3, (1 1 1)
42.4°, intensity 27.5, (1 1 2)
45.8°, intensity 20.0, (1 3 2)
49.7°, intensity 42.1, (2 0 0)
49.9°, intensity 40.2, (0 6 2)
52.2°, intensity 50.7, (1 5 2)
58.6°, intensity 22.9, (2 4 1)

Structural model:
abc: 3.669 15.090 5.322
angles: 90.00 90.00 90.00
Space group Cmcm (No. 63)
Inequivalent atoms, fractional coordinates:
Na (0.000, 0.194, 0.250)
Al (0.000, 0.415, 0.250)
F (0.000, 0.082, 0.750)
F (0.000, 0.330, 0.012)
F (0.000, 0.500, 0.000)

***

Record 8
This entry pairs a crystal structure of HoZnBi2O6 with its theoretical powder diffraction line list. Radiation: copper Kα. Structure: a structure optimized by DFT (PBE).
Lines closer than 0.1° are merged.

Main lines, in order of rising 2θ (5° ≤ 2θ ≤ 70°):
21.1°, intensity 21.5, (0 1 1)
25.0°, intensity 14.1, (2 1 0)
27.9°, intensity 16.5, (0 2 0)
29.7°, intensity 100.0, (2 1 1)
32.0°, intensity 24.3, (0 0 2)
32.3°, intensity 15.3, (0 2 1)
42.2°, intensity 13.9, (4 0 0)
47.7°, intensity 16.9, (2 3 0)
53.9°, intensity 12.9, (4 0 2)
55.6°, intensity 20.7, (2 1 3)

Structural model:
abc: 8.573 6.386 5.602
angles: 90.00 90.00 90.00
Space group Pmn2_1 (No. 31)
Inequivalent atoms, fractional coordinates:
Ho (0.000, 0.165, 0.000)
Zn (0.000, 0.910, 0.490)
Bi (0.242, 0.718, 0.965)
O (0.000, 0.242, 0.610)
O (0.000, 0.822, 0.818)
O (0.168, 0.972, 0.258)
O (0.181, 0.399, 0.107)

***

Record 9
This entry pairs a crystal structure of YEr3 with its theoretical powder diffraction line list. Radiation: copper Kα. Structure: a structure optimized by DFT (PBE).
Lines closer than 0.1° are merged.

Main lines, in order of rising 2θ (5° ≤ 2θ ≤ 70°):
21.3°, intensity 4.2, (1 0 1)
28.7°, intensity 23.9, (2 0 0)
31.9°, intensity 24.1, (0 0 2)
32.9°, intensity 100.0, (2 0 1)
43.4°, intensity 15.5, (2 0 2)
50.8°, intensity 19.7, (2 2 0)
57.5°, intensity 20.4, (2 0 3)
61.2°, intensity 22.4, (2 2 2)
61.8°, intensity 16.3, (4 0 1)
69.0°, intensity 3.9, (4 0 2)

Structural model:
abc: 7.1938 7.1938 5.6133
angles: 90.00 90.00 120.00
Space group P6_3/mmc (No. 194)
Inequivalent atoms, fractional coordinates:
Y (0.3333, 0.6667, 0.2500)
Er (0.1655, 0.3310, 0.7500)